Entry 1:
For HoCuGe, DFT lattice parameters and positions (PBE) gives the calculated PXRD pattern in this record (Cu Kα X-rays).

Crystal structure
```
HoCuGe
1.0
4.2589 0.0000 0.0000
-2.1295 3.6883 0.0000
0.0000 0.0000 7.1622
Ho Cu Ge
2 2 2
Direct
0.0000 0.0000 0.0000
0.0000 0.0000 0.5000
0.3333 0.6667 0.2145
0.6667 0.3333 0.7145
0.3333 0.6667 0.7762
0.6667 0.3333 0.2762
```

Top 10 peaks for 10° ≤ 2θ ≤ 90°, in order of rising 2θ:
2theta	I/Imax
24.13	20
34.92	100
42.45	52
51.00	8
56.10	25
57.19	6
68.46	18
72.80	23
77.67	8
85.50	5



Entry 2:
For HoCu2Ge2, DFT lattice parameters and positions (PBE) gives the calculated PXRD pattern in this record (Cu Kα X-rays).

Crystal structure
```
HoCu2Ge2
1.0
-2.0178 2.0178 5.1786
2.0178 -2.0178 5.1786
2.0178 2.0178 -5.1786
Ho Cu Ge
1 2 2
Direct
0.0000 0.0000 0.0000
0.2500 0.7500 0.5000
0.7500 0.2500 0.5000
0.3814 0.3814 0.0000
0.6186 0.6186 0.0000
```

Top 10 peaks for 10° ≤ 2θ ≤ 90°, in order of rising 2θ:
2theta	I/Imax
31.35	22
34.18	76
35.93	100
44.92	55
49.46	34
57.63	34
62.93	13
65.41	17
69.02	25
76.95	20



Entry 3:
For Ho2MgCuGe4O12, DFT lattice parameters and positions (PBE) gives the calculated PXRD pattern in this record (Cu Kα X-rays).

Crystal structure
```
Ho2MgCuGe4O12
1.0
5.2410 0.0000 0.0000
1.6342 7.3737 0.0000
0.3803 3.4205 7.3312
Ho Mg Cu Ge O
2 1 1 4 12
Direct
0.0320 0.2756 0.4361
0.9680 0.7244 0.5639
0.5000 0.5000 0.0000
0.0000 0.5000 0.0000
0.4165 0.9041 0.7812
0.4501 0.6651 0.2489
0.5499 0.3349 0.7511
0.5835 0.0959 0.2188
0.1768 0.9407 0.6180
0.2032 0.5750 0.3959
0.2868 0.5117 0.7847
0.2966 0.2906 0.2002
0.2997 0.7749 0.0131
0.4189 0.1693 0.6889
0.5811 0.8307 0.3111
0.7003 0.2251 0.9869
0.7034 0.7094 0.7998
0.7132 0.4883 0.2153
0.7968 0.4250 0.6041
0.8232 0.0593 0.3820
```

Top 10 peaks for 10° ≤ 2θ ≤ 90°, in order of rising 2θ:
2theta	I/Imax
12.07	39
20.68	35
21.69	24
23.89	37
26.63	100
29.29	53
30.72	48
33.86	29
35.14	46
47.42	32